For Na2MgH8S2O12, a structure optimized by DFT (PBE) gives the theoretical powder X-ray diffraction pattern in this record (Cu Kα X-rays).

Cell and atoms:
```
data_Na2MgH8S2O12
_cell_length_a 5.5412
_cell_length_b 8.3877
_cell_length_c 11.2268
_cell_angle_alpha 90.00
_cell_angle_beta 100.20
_cell_angle_gamma 90.00
_space_group_name_H-M_alt 'P 1 21/c 1'
_space_group_IT_number 14
_space_group_name_Hall '-P 2ybc'
loop_
_atom_site_label
_atom_site_fract_x
_atom_site_fract_y
_atom_site_fract_z
_atom_site_occupancy
Na1 0.1199 0.0722 0.3631 1
Mg1 0.0000 0.0000 0.0000 1
H1 0.2255 0.6325 0.3425 1
H2 0.2331 0.0562 0.8163 1
H3 0.2472 0.7304 0.0096 1
H4 0.3339 0.6985 0.6378 1
S1 0.3792 0.2098 0.6362 1
O1 0.1270 0.5325 0.3369 1
O2 0.1856 0.7094 0.5743 1
O3 0.2255 0.0769 0.5793 1
O4 0.3046 0.1377 0.0731 1
O5 0.3555 0.6796 0.8705 1
O6 0.3601 0.2232 0.7681 1
```

Peak list (8 most intense, 10° ≤ 2θ ≤ 80°, sorted by position)
index  d [Å]  Position (°2θ)  Rel. int.
0 1 2  4.614  19.24  76
1 1 0  4.572  19.41  38
1 0 -2  4.278  20.76  31
1 2 0  3.325  26.82  98
1 1 2  3.288  27.12  100
1 2 -2  2.995  29.83  30
0 0 4  2.762  32.41  30
1 0 -4  2.662  33.67  30